The following is a simulated powder diffractogram of SrLiLa3MnO8. It was derived from a DFT-relaxed cell (GGA+U, Alexandria), using Cu Kα (λ = 1.5418 Å).
Lines closer than 0.1° are merged.

Structural model:
Cell lengths 5.433, 12.670, 10.892 Å; angles 90.00, 90.00, 90.00 degrees
Space group Cmcm (No. 63)
Symmetry-distinct sites (fractional):
Sr (0.000, 0.140, 0.250) x4
Li (0.000, 0.000, 0.000) x4
La (0.000, 0.135, 0.750) x4
La (0.000, 0.363, 0.501) x8
Mn (0.000, 0.498, 0.750) x4
O (0.000, 0.183, 0.518) x8
O (0.000, 0.337, 0.750) x4
O (0.000, 0.342, 0.250) x4
O (0.244, 0.500, 0.128) x16

Top 6 peaks for 5 to 70 degrees two-theta, in order of rising 2θ:
2θ (°), I_rel, h k l
24.18, 58, 1 1 2
31.46, 100, 1 3 2
32.93, 78, 2 0 0
42.76, 30, 0 6 0
43.88, 56, 2 4 0
47.26, 41, 2 0 4


The following is a simulated powder diffractogram of Mn2O3F. It was derived from a DFT-relaxed cell (GGA+U, Alexandria), using Cu Kα (λ = 1.5418 Å).
Lines closer than 0.1° are merged.

Structural model:
Cell lengths 6.055, 6.338, 6.586 Å; angles 90.00, 90.00, 90.00 degrees
Space group Imma (No. 74)
Symmetry-distinct sites (fractional):
Mn (0.000, 0.250, 0.225) x4
Mn (0.250, 0.250, 0.750) x4
O (0.000, 0.250, 0.936) x4
O (0.250, 0.058, 0.250) x8
F (0.000, 0.250, 0.527) x4

Top 6 peaks for 5 to 70 degrees two-theta, in order of rising 2θ:
2θ (°), I_rel, h k l
27.08, 84, 0 0 2
28.16, 91, 0 2 0
35.58, 100, 2 1 1
53.55, 48, 2 1 3
54.79, 54, 2 3 1
69.06, 34, 2 3 3